Starting from a crystal structure in Alexandria, relaxed with GGA+U, the X-ray powder pattern of CsVP2O7 was calculated for copper Kα.

abc: 7.8400 10.2256 8.4877
angles: 90.00 105.00 90.00
Element x y z (fractional)
Cs (0.1989, 0.2008, 0.0429)
Cs (0.1989, 0.2992, 0.5429)
Cs (0.8011, 0.7008, 0.4571)
Cs (0.8011, 0.7992, 0.9571)
V (0.2411, 0.6015, 0.2578)
V (0.2411, 0.8985, 0.7578)
V (0.7589, 0.1015, 0.2422)
V (0.7589, 0.3985, 0.7422)
P (0.1300, 0.5969, 0.8314)
P (0.1300, 0.9031, 0.3314)
P (0.4253, 0.6271, 0.6823)
P (0.4253, 0.8729, 0.1823)
P (0.5747, 0.1271, 0.8177)
P (0.5747, 0.3729, 0.3177)
P (0.8700, 0.0969, 0.6686)
P (0.8700, 0.4031, 0.1686)
O (0.0140, 0.0066, 0.7664)
O (0.0140, 0.4934, 0.2664)
O (0.0927, 0.7385, 0.7689)
O (0.0927, 0.7615, 0.2689)
O (0.1593, 0.5852, 0.0145)
O (0.1593, 0.9148, 0.5145)
O (0.3135, 0.5502, 0.7928)
O (0.3135, 0.9498, 0.2928)
O (0.3257, 0.6008, 0.5056)
O (0.3257, 0.8992, 0.0056)
O (0.3904, 0.0664, 0.7684)
O (0.3904, 0.4336, 0.2684)
O (0.4365, 0.7285, 0.2325)
O (0.4365, 0.7715, 0.7325)
O (0.5635, 0.2285, 0.2675)
O (0.5635, 0.2715, 0.7675)
O (0.6096, 0.5664, 0.7316)
O (0.6096, 0.9336, 0.2316)
O (0.6743, 0.1008, 0.9944)
O (0.6743, 0.3992, 0.4944)
O (0.6865, 0.0502, 0.7072)
O (0.6865, 0.4498, 0.2072)
O (0.8407, 0.0852, 0.4855)
O (0.8407, 0.4148, 0.9855)
O (0.9073, 0.2385, 0.7311)
O (0.9073, 0.2615, 0.2311)
O (0.9860, 0.5066, 0.7336)
O (0.9860, 0.9934, 0.2336)

Largest 12 diffraction maxima, most intense first, 2θ from 10° to 80°:
2θ/deg	Rel. int.
28.7	100.0
23.5	40.5
29.1	39.9
25.0	28.8
29.0	27.8
28.4	18.8
27.9	17.5
28.0	16.7
57.2	14.5
36.7	13.0
41.6	10.9
21.8	10.7